This entry pairs a crystal structure of BaP3 with its theoretical powder XRD pattern. Radiation: Cu Kα, 1.54184 Å. Structure: a crystal structure in the Materials Project, relaxed with GGA-PBE.
No peak broadening, texture or thermal motion is included.

Atomic structure:
a b c (Å): 6.6048 7.8473 8.2591
angles (deg): 90.00 105.20 90.00
Element x y z (fractional)
Ba1 0.1886 0.1106 0.3026
Ba2 0.1886 0.3894 0.8026
Ba3 0.8114 0.6106 0.1974
Ba4 0.8114 0.8894 0.6974
P1 0.1985 0.7290 0.5418
P2 0.1985 0.7710 0.0418
P3 0.3115 0.5422 0.1880
P4 0.3115 0.9578 0.6880
P5 0.4621 0.6317 0.4467
P6 0.4621 0.8683 0.9467
P7 0.5379 0.1317 0.0533
P8 0.5379 0.3683 0.5533
P9 0.6885 0.0422 0.3120
P10 0.6885 0.4578 0.8120
P11 0.8015 0.2290 0.9582
P12 0.8015 0.2710 0.4582

Top 10 peaks for 2θ = 5–70°, low angle first:
| h k l | 2θ (°) | I_rel |
| --- | --- | --- |
| 1 0 -2 | 23.01 | 69 |
| 0 2 1 | 25.30 | 100 |
| 1 2 -1 | 27.49 | 23 |
| 2 0 0 | 28.00 | 24 |
| 2 1 -1 | 29.60 | 59 |
| 1 1 2 | 31.56 | 40 |
| 2 1 -2 | 33.08 | 36 |
| 0 1 3 | 35.69 | 38 |
| 1 3 0 | 37.15 | 20 |
| 1 2 -3 | 40.34 | 40 |